The following is a theoretical powder diffraction line list of Rb2NdPaS4. It was derived from a cell relaxed with GGA-PBE, using a wavelength of 1.5418 Å.
No peak broadening, texture or thermal motion is included.

Structural model:
Cell: 7.180 4.123 8.115 Å, 90.00 106.95 90.00°
Fractional coordinates of all 8 atoms:
1 Rb 0.000 0.000 0.000
2 Rb 0.500 0.500 0.000
3 Nd 0.000 0.500 0.500
4 Pa 0.500 0.000 0.500
5 S 0.244 0.000 0.699
6 S 0.277 0.500 0.304
7 S 0.723 0.500 0.696
8 S 0.756 0.000 0.301

Largest 12 diffraction maxima, by angle, 2θ = 5–70°:
| d_spacing | I/Imax |
| --- | --- |
| 7.763 | 38.2 |
| 3.881 | 25.7 |
| 3.434 | 17.0 |
| 3.416 | 33.5 |
| 3.050 | 100.0 |
| 2.265 | 12.9 |
| 2.256 | 25.4 |
| 2.070 | 22.5 |
| 2.061 | 11.2 |
| 1.952 | 15.3 |
| 1.708 | 11.8 |
| 1.525 | 11.0 |

The following is a theoretical powder diffraction line list of Nd4PaRh4. It was derived from a cell relaxed with GGA-PBE, using a wavelength of 1.5418 Å.
No peak broadening, texture or thermal motion is included.

Structural model:
Cell: 7.502 7.502 8.537 Å, 116.87 116.87 34.07°
Fractional coordinates of all 9 atoms:
1 Nd 0.128 0.128 0.380
2 Nd 0.331 0.331 0.202
3 Nd 0.669 0.669 0.798
4 Nd 0.872 0.872 0.620
5 Pa 0.500 0.500 0.000
6 Rh 0.093 0.093 0.951
7 Rh 0.300 0.300 0.771
8 Rh 0.700 0.700 0.229
9 Rh 0.907 0.907 0.049

Largest 12 diffraction maxima, by angle, 2θ = 5–70°:
| d_spacing | I/Imax |
| --- | --- |
| 7.524 | 56.1 |
| 6.620 | 28.1 |
| 3.418 | 26.2 |
| 2.898 | 100.0 |
| 2.835 | 15.8 |
| 2.717 | 53.6 |
| 2.383 | 36.2 |
| 2.373 | 39.7 |
| 2.198 | 37.2 |
| 2.192 | 48.4 |
| 1.823 | 15.6 |
| 1.709 | 28.5 |

The following is a theoretical powder diffraction line list of NdPaRu2. It was derived from a cell relaxed with GGA-PBE, using a wavelength of 1.5418 Å.
No peak broadening, texture or thermal motion is included.

Structural model:
Cell: 5.942 4.462 7.159 Å, 90.00 112.13 90.00°
Fractional coordinates of all 8 atoms:
1 Nd 0.173 0.250 0.407
2 Nd 0.827 0.750 0.593
3 Pa 0.356 0.750 0.108
4 Pa 0.644 0.250 0.892
5 Ru 0.124 0.250 0.919
6 Ru 0.398 0.750 0.739
7 Ru 0.602 0.250 0.261
8 Ru 0.876 0.750 0.081

Largest 12 diffraction maxima, by angle, 2θ = 5–70°:
| d_spacing | I/Imax |
| --- | --- |
| 6.631 | 25.5 |
| 3.618 | 10.3 |
| 3.423 | 18.9 |
| 2.810 | 10.3 |
| 2.664 | 100.0 |
| 2.385 | 12.2 |
| 2.342 | 61.4 |
| 2.231 | 30.3 |
| 1.981 | 8.9 |
| 1.712 | 20.1 |
| 1.620 | 10.2 |
| 1.408 | 9.5 |

The following is a theoretical powder diffraction line list of Nd2Pa3S8. It was derived from a cell relaxed with GGA-PBE, using a wavelength of 1.5418 Å.
No peak broadening, texture or thermal motion is included.

Structural model:
Cell: 8.254 8.254 4.774 Å, 90.00 90.00 110.03°
Fractional coordinates of all 13 atoms:
1 Nd 0.231 0.769 0.000
2 Nd 0.769 0.231 0.000
3 Pa 0.234 0.234 0.500
4 Pa 0.500 0.500 0.000
5 Pa 0.766 0.766 0.500
6 S 0.121 0.879 0.500
7 S 0.143 0.379 0.000
8 S 0.379 0.143 0.000
9 S 0.387 0.613 0.500
10 S 0.613 0.387 0.500
11 S 0.621 0.857 0.000
12 S 0.857 0.621 0.000
13 S 0.879 0.121 0.500

Largest 12 diffraction maxima, by angle, 2θ = 5–70°:
| d_spacing | I/Imax |
| --- | --- |
| 6.763 | 31.0 |
| 4.067 | 22.1 |
| 3.900 | 26.6 |
| 3.877 | 24.8 |
| 3.381 | 15.7 |
| 3.361 | 32.6 |
| 3.097 | 14.5 |
| 3.010 | 13.7 |
| 2.384 | 100.0 |
| 2.366 | 19.4 |
| 1.680 | 13.5 |
| 1.378 | 13.9 |

The following is a theoretical powder diffraction line list of Nd3PaS7. It was derived from a cell relaxed with GGA-PBE, using a wavelength of 1.5418 Å.
No peak broadening, texture or thermal motion is included.

Structural model:
Cell: 8.093 8.093 9.577 Å, 90.00 90.00 110.53°
Fractional coordinates of all 22 atoms:
1 Nd 0.007 0.007 0.000
2 Nd 0.046 0.498 0.252
3 Nd 0.498 0.046 0.748
4 Nd 0.502 0.954 0.248
5 Nd 0.954 0.502 0.752
6 Nd 0.993 0.993 0.500
7 Pa 0.500 0.500 0.000
8 Pa 0.500 0.500 0.500
9 S 0.128 0.872 0.750
10 S 0.135 0.865 0.250
11 S 0.158 0.412 0.971
12 S 0.160 0.416 0.532
13 S 0.412 0.158 0.029
14 S 0.416 0.160 0.468
15 S 0.418 0.582 0.250
16 S 0.582 0.418 0.750
17 S 0.584 0.840 0.968
18 S 0.588 0.842 0.529
19 S 0.840 0.584 0.032
20 S 0.842 0.588 0.471
21 S 0.865 0.135 0.750
22 S 0.872 0.128 0.250

Largest 12 diffraction maxima, by angle, 2θ = 5–70°:
| d_spacing | I/Imax |
| --- | --- |
| 3.886 | 99.4 |
| 3.789 | 100.0 |
| 3.323 | 43.6 |
| 2.394 | 25.4 |
| 2.350 | 82.0 |
| 2.305 | 20.7 |
| 2.024 | 36.1 |
| 2.012 | 14.2 |
| 1.998 | 11.0 |
| 1.983 | 29.0 |
| 1.661 | 17.9 |
| 1.374 | 12.6 |

The following is a theoretical powder diffraction line list of Nd3PaS6. It was derived from a cell relaxed with GGA-PBE, using a wavelength of 1.5418 Å.
No peak broadening, texture or thermal motion is included.

Structural model:
Cell: 7.314 7.314 6.992 Å, 118.31 118.31 62.07°
Fractional coordinates of all 10 atoms:
1 Nd 0.000 0.000 0.000
2 Nd 0.247 0.247 0.688
3 Nd 0.753 0.753 0.312
4 Pa 0.500 0.500 0.500
5 S 0.166 0.657 0.659
6 S 0.259 0.259 0.101
7 S 0.343 0.834 0.341
8 S 0.657 0.166 0.659
9 S 0.741 0.741 0.899
10 S 0.834 0.343 0.341

Largest 12 diffraction maxima, by angle, 2θ = 5–70°:
| d_spacing | I/Imax |
| --- | --- |
| 5.823 | 9.1 |
| 3.771 | 25.8 |
| 3.658 | 100.0 |
| 3.496 | 10.6 |
| 3.033 | 12.3 |
| 2.610 | 11.9 |
| 2.564 | 25.8 |
| 2.155 | 24.3 |
| 2.146 | 20.8 |
| 2.052 | 8.6 |
| 2.044 | 9.3 |
| 1.885 | 7.9 |

Please write out number 5 again, unchanged.
The following is a theoretical powder diffraction line list of Nd3PaS7. It was derived from a cell relaxed with GGA-PBE, using a wavelength of 1.5418 Å.
No peak broadening, texture or thermal motion is included.

Structural model:
Cell: 8.093 8.093 9.577 Å, 90.00 90.00 110.53°
Fractional coordinates of all 22 atoms:
1 Nd 0.007 0.007 0.000
2 Nd 0.046 0.498 0.252
3 Nd 0.498 0.046 0.748
4 Nd 0.502 0.954 0.248
5 Nd 0.954 0.502 0.752
6 Nd 0.993 0.993 0.500
7 Pa 0.500 0.500 0.000
8 Pa 0.500 0.500 0.500
9 S 0.128 0.872 0.750
10 S 0.135 0.865 0.250
11 S 0.158 0.412 0.971
12 S 0.160 0.416 0.532
13 S 0.412 0.158 0.029
14 S 0.416 0.160 0.468
15 S 0.418 0.582 0.250
16 S 0.582 0.418 0.750
17 S 0.584 0.840 0.968
18 S 0.588 0.842 0.529
19 S 0.840 0.584 0.032
20 S 0.842 0.588 0.471
21 S 0.865 0.135 0.750
22 S 0.872 0.128 0.250

Largest 12 diffraction maxima, by angle, 2θ = 5–70°:
| d_spacing | I/Imax |
| --- | --- |
| 3.886 | 99.4 |
| 3.789 | 100.0 |
| 3.323 | 43.6 |
| 2.394 | 25.4 |
| 2.350 | 82.0 |
| 2.305 | 20.7 |
| 2.024 | 36.1 |
| 2.012 | 14.2 |
| 1.998 | 11.0 |
| 1.983 | 29.0 |
| 1.661 | 17.9 |
| 1.374 | 12.6 |